Y8Ru2Au: calculated XRD peak list (Cu Kα, 1.54184 Å), based on the GGA-PBE geometry in Alexandria.
No peak broadening, texture or thermal motion is included.

Largest 10 diffraction maxima, low angle first, 10° ≤ 2θ ≤ 90°:
| 2θ (°) | Rel. int. |
| --- | --- |
| 21.2 | 32 |
| 30.4 | 34 |
| 30.5 | 48 |
| 31.8 | 33 |
| 32.4 | 82 |
| 32.8 | 75 |
| 35.3 | 39 |
| 35.7 | 62 |
| 36.4 | 34 |
| 39.2 | 100 |

Structural model:
```
data_Y8Ru2Au
_chemical_formula_sum 'Y16 Ru4 Au2'
_symmetry_space_group_name_H-M 'C 1 m 1'
_symmetry_Int_Tables_number 8
_cell_length_a 8.5780
_cell_length_b 12.7279
_cell_length_c 5.7865
_cell_angle_alpha 90.00
_cell_angle_beta 106.52
_cell_angle_gamma 90.00
loop_
_symmetry_equiv_pos_as_xyz
'x,y,z'
'x,-y,z'
'x+1/2,y+1/2,z'
'x+1/2,-y+1/2,z'
loop_
_atom_site_label
_atom_site_fract_x
_atom_site_fract_y
_atom_site_fract_z
Y1 0.0000 0.0000 0.0000
Y2 0.0733 0.3679 0.7880
Y3 0.1644 0.1327 0.6008
Y4 0.2460 0.5000 0.3868
Y5 0.3712 0.2297 0.1918
Ru1 0.3688 0.3109 0.6940
Au1 0.3751 0.0000 0.0669
```

=====

ZnRuAu2: calculated XRD peak list (Cu Kα, 1.54184 Å), based on the GGA-PBE geometry in Alexandria.
No peak broadening, texture or thermal motion is included.

Largest 10 diffraction maxima, low angle first, 10° ≤ 2θ ≤ 90°:
| 2θ (°) | Rel. int. |
| --- | --- |
| 15.7 | 20 |
| 26.5 | 32 |
| 38.5 | 100 |
| 40.0 | 97 |
| 40.7 | 48 |
| 43.1 | 38 |
| 52.5 | 20 |
| 60.8 | 30 |
| 71.6 | 19 |
| 81.2 | 25 |

Structural model:
```
data_ZnRuAu2
_chemical_formula_sum 'Zn2 Ru2 Au4'
_symmetry_space_group_name_H-M 'A m m 2'
_symmetry_Int_Tables_number 38
_cell_length_a 4.1975
_cell_length_b 2.7471
_cell_length_c 11.2629
_cell_angle_alpha 90.00
_cell_angle_beta 90.00
_cell_angle_gamma 90.00
loop_
_symmetry_equiv_pos_as_xyz
'x,y,z'
'-x,-y,z'
'-x,y,z'
'x,-y,z'
'x,y+1/2,z+1/2'
'-x,-y+1/2,z+1/2'
'-x,y+1/2,z+1/2'
'x,-y+1/2,z+1/2'
loop_
_atom_site_label
_atom_site_fract_x
_atom_site_fract_y
_atom_site_fract_z
Zn1 0.0000 0.0000 0.0000
Ru1 0.5000 0.0000 0.4076
Au1 0.0000 0.0000 0.7700
Au2 0.5000 0.0000 0.1389
```